For LaSi3Ir, a structure optimized by DFT (GGA-PBE) gives the theoretical powder X-ray diffraction pattern in this record (a wavelength of 1.5418 Å).
Intensities are scaled so that the largest is 100.

Most intense lines, 10° ≤ 2θ ≤ 90°, in order of rising 2θ:
- 17.90 deg, intensity 22
- 22.58 deg, intensity 54
- 29.43 deg, intensity 63
- 34.25 deg, intensity 100
- 34.66 deg, intensity 41
- 42.11 deg, intensity 46
- 55.36 deg, intensity 51
- 64.20 deg, intensity 21

Structural model:
```
data_LaSi3Ir
_chemical_formula_sum 'La1 Si3 Ir1'
_symmetry_space_group_name_H-M 'P 1'
_symmetry_Int_Tables_number 1
_symmetry_space_group_name_Hall 'P 1'
_cell_length_a 5.8107
_cell_length_b 5.8107
_cell_length_c 5.8107
_cell_angle_alpha 136.66
_cell_angle_beta 136.66
_cell_angle_gamma 62.97
loop_
_atom_site_label
_atom_site_type_symbol
_atom_site_fract_x
_atom_site_fract_y
_atom_site_fract_z
_atom_site_occupancy
La1 La 0.0000 0.0000 0.0000 1
Si1 Si 0.2648 0.7648 0.5000 1
Si2 Si 0.4144 0.4144 0.0000 1
Si3 Si 0.7648 0.2648 0.5000 1
Ir1 Ir 0.6557 0.6557 0.0000 1
```

=====

For LaSm2Ir, a structure optimized by DFT (GGA-PBE) gives the theoretical powder X-ray diffraction pattern in this record (a wavelength of 1.5418 Å).
Intensities are scaled so that the largest is 100.

Most intense lines, 10° ≤ 2θ ≤ 90°, in order of rising 2θ:
- 18.09 deg, intensity 50
- 30.40 deg, intensity 43
- 30.57 deg, intensity 59
- 31.13 deg, intensity 100
- 32.96 deg, intensity 82
- 33.37 deg, intensity 81
- 35.03 deg, intensity 42
- 36.81 deg, intensity 55

Structural model:
```
data_LaSm2Ir
_chemical_formula_sum 'La4 Sm8 Ir4'
_symmetry_space_group_name_H-M 'P 1'
_symmetry_Int_Tables_number 1
_symmetry_space_group_name_Hall 'P 1'
_cell_length_a 7.3560
_cell_length_b 9.7927
_cell_length_c 6.5852
_cell_angle_alpha 90.00
_cell_angle_beta 90.00
_cell_angle_gamma 90.00
loop_
_atom_site_label
_atom_site_type_symbol
_atom_site_fract_x
_atom_site_fract_y
_atom_site_fract_z
_atom_site_occupancy
La1 La 0.0411 0.2500 0.1414 1
La2 La 0.4589 0.7500 0.6414 1
La3 La 0.5411 0.2500 0.3586 1
La4 La 0.9589 0.7500 0.8586 1
Sm1 Sm 0.1737 0.0664 0.6704 1
Sm2 Sm 0.1737 0.4336 0.6704 1
Sm3 Sm 0.3263 0.5664 0.1704 1
Sm4 Sm 0.3263 0.9336 0.1704 1
Sm5 Sm 0.6737 0.0664 0.8296 1
Sm6 Sm 0.6737 0.4336 0.8296 1
Sm7 Sm 0.8263 0.5664 0.3296 1
Sm8 Sm 0.8263 0.9336 0.3296 1
Ir1 Ir 0.1214 0.7500 0.4398 1
Ir2 Ir 0.3786 0.2500 0.9398 1
Ir3 Ir 0.6214 0.7500 0.0602 1
Ir4 Ir 0.8786 0.2500 0.5602 1
```